Starting from a GGA+U-relaxed structure, the powder XRD pattern of Li4Ti3Fe3O12 was computed for Cu Kα (λ = 1.5418 Å).
Lines closer than 0.1° are merged.

Largest 12 diffraction maxima, low angle first, 2θ = 5–70°:
2θ = 18.01°, intensity 100.0, hkl 0 1 -1; 2θ = 34.83°, intensity 11.7, hkl -2 1 1; 2θ = 35.20°, intensity 13.1, hkl 0 1 2; 2θ = 35.22°, intensity 12.7, hkl 2 1 0; 2θ = 36.65°, intensity 5.8, hkl 0 2 1; 2θ = 42.07°, intensity 23.5, hkl 2 -2 0; 2θ = 42.80°, intensity 44.8, hkl 2 2 -1; 2θ = 61.35°, intensity 5.8, hkl 0 4 -1; 2θ = 61.47°, intensity 5.6, hkl 2 -2 3; 2θ = 61.73°, intensity 12.6, hkl 4 0 -1; 2θ = 62.07°, intensity 5.4, hkl 2 2 -4; 2θ = 62.18°, intensity 6.3, hkl 2 2 2

Cell and atoms:
```
data_Li4Ti3Fe3O12
_chemical_formula_sum 'Li4 Ti3 Fe3 O12'
_cell_length_a 6.0078
_cell_length_b 6.0455
_cell_length_c 6.6837
_cell_angle_alpha 103.05
_cell_angle_beta 102.71
_cell_angle_gamma 90.92
_symmetry_space_group_name_H-M 'P -1'
_symmetry_Int_Tables_number 2
_symmetry_space_group_name_Hall '-P 1'
loop_
_atom_site_label
_atom_site_type_symbol
_atom_site_fract_x
_atom_site_fract_y
_atom_site_fract_z
Li1 Li 0.0000 0.0000 0.0000
Li2 Li 0.1796 0.6746 0.6699
Li3 Li 0.5000 0.0000 0.0000
Ti1 Ti 0.1671 0.1836 0.6514
Ti2 Ti 0.5000 0.5000 0.0000
Fe1 Fe 0.0000 0.5000 0.0000
Fe2 Fe 0.3329 0.8274 0.3364
O1 O 0.0722 0.6147 0.3443
O2 O 0.0743 0.0581 0.3411
O3 O 0.2507 0.2624 0.9694
O4 O 0.2744 0.7389 0.0130
O5 O 0.4003 0.9488 0.6514
O6 O 0.4153 0.4081 0.6884
```